Entry 1:
Diffraction record for Sc3In6Br14. The powder diffractogram is simulated, not measured: it uses DFT lattice parameters and positions (PBE) and Cu Kα.
No peak broadening, texture or thermal motion is included.

Atomic structure:
abc: 11.9169 11.9169 6.9159
angles: 90.00 90.00 120.00
Fractional coordinates of all 23 atoms:
Sc  0.0000  0.0000  0.0000
Sc  0.3333  0.6667  0.1366
Sc  0.6667  0.3333  0.4953
In  0.1074  0.3162  0.4136
In  0.2088  0.8926  0.4136
In  0.4541  0.4342  0.9258
In  0.5658  0.0198  0.9258
In  0.6838  0.7912  0.4136
In  0.9802  0.5459  0.9258
Br  0.0000  0.0000  0.6355
Br  0.1159  0.5871  0.3590
Br  0.1914  0.4487  0.9213
Br  0.2259  0.1402  0.1380
Br  0.2572  0.8086  0.9213
Br  0.4129  0.5288  0.3590
Br  0.4421  0.1846  0.6280
Br  0.4712  0.8841  0.3590
Br  0.5513  0.7428  0.9213
Br  0.6667  0.3333  0.1299
Br  0.7425  0.5579  0.6280
Br  0.8154  0.2575  0.6280
Br  0.8598  0.0856  0.1380
Br  0.9144  0.7741  0.1380

Most intense lines, 2θ from 10° to 80°, in order of rising 2θ:
| d [Å] | intensity |
| --- | --- |
| 4.136 | 52 |
| 3.398 | 100 |
| 3.279 | 70 |
| 3.080 | 91 |
| 2.979 | 38 |
| 2.873 | 67 |
| 2.862 | 77 |
| 2.645 | 100 |
| 2.588 | 47 |
| 1.985 | 40 |

---

Entry 2:
Diffraction record for Pa2NbSe4. The powder diffractogram is simulated, not measured: it uses DFT lattice parameters and positions (PBE) and Cu Kα.
No peak broadening, texture or thermal motion is included.

Atomic structure:
abc: 14.9350 3.6575 6.8184
angles: 90.00 115.79 90.00
Fractional coordinates of all 14 atoms:
Pa  0.2470  0.0000  0.2515
Pa  0.2530  0.5000  0.7485
Pa  0.7470  0.5000  0.2515
Pa  0.7530  0.0000  0.7485
Nb  0.0000  0.0000  0.0000
Nb  0.5000  0.5000  0.0000
Se  0.1039  0.5000  0.3013
Se  0.1146  0.0000  0.7930
Se  0.3854  0.5000  0.2070
Se  0.3961  0.0000  0.6987
Se  0.6039  0.0000  0.3013
Se  0.6146  0.5000  0.7930
Se  0.8854  0.0000  0.2070
Se  0.8961  0.5000  0.6987

Most intense lines, 2θ from 10° to 80°, in order of rising 2θ:
| d [Å] | intensity |
| --- | --- |
| 6.724 | 67 |
| 3.223 | 54 |
| 3.070 | 51 |
| 2.894 | 100 |
| 2.422 | 31 |
| 2.365 | 45 |
| 2.340 | 75 |
| 2.314 | 36 |
| 1.930 | 49 |
| 1.850 | 23 |

---

Entry 3:
Diffraction record for Pr7NiCl12. The powder diffractogram is simulated, not measured: it uses DFT lattice parameters and positions (PBE) and Cu Kα.
No peak broadening, texture or thermal motion is included.

Atomic structure:
abc: 9.2513 9.2513 9.2513
angles: 107.55 107.55 107.55
Fractional coordinates of all 20 atoms:
Pr  0.0000  0.0000  0.0000
Pr  0.1775  0.4738  0.3806
Pr  0.3806  0.1775  0.4738
Pr  0.4738  0.3806  0.1775
Pr  0.5262  0.6194  0.8225
Pr  0.6194  0.8225  0.5262
Pr  0.8225  0.5262  0.6194
Ni  0.5000  0.5000  0.5000
Cl  0.0278  0.1195  0.3320
Cl  0.1195  0.3320  0.0278
Cl  0.1868  0.5793  0.7095
Cl  0.2905  0.8132  0.4207
Cl  0.3320  0.0278  0.1195
Cl  0.4207  0.2905  0.8132
Cl  0.5793  0.7095  0.1868
Cl  0.6680  0.9722  0.8805
Cl  0.7095  0.1868  0.5793
Cl  0.8132  0.4207  0.2905
Cl  0.8805  0.6680  0.9722
Cl  0.9722  0.8805  0.6680

Most intense lines, 2θ from 10° to 80°, in order of rising 2θ:
| d [Å] | intensity |
| --- | --- |
| 7.957 | 31 |
| 7.463 | 76 |
| 4.398 | 19 |
| 3.511 | 16 |
| 3.378 | 18 |
| 2.923 | 100 |
| 2.557 | 16 |
| 2.070 | 33 |
| 2.064 | 36 |
| 1.689 | 16 |

---

Entry 4:
Diffraction record for Er3Ga8Rh4. The powder diffractogram is simulated, not measured: it uses DFT lattice parameters and positions (PBE) and Cu Kα.
No peak broadening, texture or thermal motion is included.

Atomic structure:
abc: 8.9944 8.9944 8.9944
angles: 60.00 60.00 60.00
Fractional coordinates of all 30 atoms:
Er  0.2160  0.2160  0.7840
Er  0.2160  0.7840  0.2160
Er  0.2160  0.7840  0.7840
Er  0.7840  0.2160  0.2160
Er  0.7840  0.2160  0.7840
Er  0.7840  0.7840  0.2160
Ga  0.1294  0.6235  0.6235
Ga  0.1627  0.1627  0.1627
Ga  0.1627  0.1627  0.5119
Ga  0.1627  0.5119  0.1627
Ga  0.3765  0.3765  0.3765
Ga  0.3765  0.3765  0.8706
Ga  0.3765  0.8706  0.3765
Ga  0.4881  0.8373  0.8373
Ga  0.5119  0.1627  0.1627
Ga  0.6235  0.1294  0.6235
Ga  0.6235  0.6235  0.1294
Ga  0.6235  0.6235  0.6235
Ga  0.8373  0.4881  0.8373
Ga  0.8373  0.8373  0.4881
Ga  0.8373  0.8373  0.8373
Ga  0.8706  0.3765  0.3765
Rh  0.0000  0.0000  0.0000
Rh  0.0000  0.0000  0.5000
Rh  0.0000  0.5000  0.0000
Rh  0.0000  0.5000  0.5000
Rh  0.5000  0.0000  0.0000
Rh  0.5000  0.0000  0.5000
Rh  0.5000  0.5000  0.0000
Rh  0.5000  0.5000  0.5000

Most intense lines, 2θ from 10° to 80°, in order of rising 2θ:
| d [Å] | intensity |
| --- | --- |
| 3.180 | 14 |
| 2.844 | 10 |
| 2.596 | 11 |
| 2.448 | 37 |
| 2.249 | 100 |
| 2.120 | 9 |
| 1.656 | 9 |
| 1.590 | 10 |
| 1.298 | 18 |
| 1.230 | 11 |

---

Entry 5:
Diffraction record for Dy7CuS5. The powder diffractogram is simulated, not measured: it uses DFT lattice parameters and positions (PBE) and Cu Kα.
No peak broadening, texture or thermal motion is included.

Atomic structure:
abc: 3.8790 23.4363 6.6954
angles: 90.00 106.73 90.00
Fractional coordinates of all 26 atoms:
Dy  0.0377  0.2500  0.0730
Dy  0.1366  0.5369  0.2745
Dy  0.1366  0.9631  0.2745
Dy  0.3125  0.1767  0.6238
Dy  0.3125  0.3233  0.6238
Dy  0.4109  0.6089  0.8230
Dy  0.4109  0.8911  0.8230
Dy  0.5891  0.1089  0.1770
Dy  0.5891  0.3911  0.1770
Dy  0.6875  0.6767  0.3762
Dy  0.6875  0.8233  0.3762
Dy  0.8634  0.0369  0.7255
Dy  0.8634  0.4631  0.7255
Dy  0.9623  0.7500  0.9270
Cu  0.2970  0.7500  0.5963
Cu  0.7030  0.2500  0.4037
S  0.0482  0.6421  0.0977
S  0.0482  0.8579  0.0977
S  0.2256  0.0706  0.4497
S  0.2256  0.4294  0.4497
S  0.5000  0.0000  0.0000
S  0.5000  0.5000  0.0000
S  0.7744  0.5706  0.5503
S  0.7744  0.9294  0.5503
S  0.9518  0.1421  0.9023
S  0.9518  0.3579  0.9023

Most intense lines, 2θ from 10° to 80°, in order of rising 2θ:
| d [Å] | intensity |
| --- | --- |
| 3.176 | 29 |
| 3.136 | 52 |
| 2.968 | 100 |
| 2.910 | 24 |
| 2.790 | 83 |
| 2.696 | 62 |
| 1.982 | 27 |
| 1.946 | 45 |
| 1.940 | 30 |
| 1.624 | 34 |

---

Entry 6:
Diffraction record for Ba3Li2Tl2Hg4. The powder diffractogram is simulated, not measured: it uses DFT lattice parameters and positions (PBE) and Cu Kα.
No peak broadening, texture or thermal motion is included.

Atomic structure:
abc: 5.2626 5.2626 15.2476
angles: 90.00 90.00 120.00
Fractional coordinates of all 11 atoms:
Ba  0.0000  0.0000  0.0000
Ba  0.0000  0.0000  0.2797
Ba  0.0000  0.0000  0.7203
Li  0.3333  0.6667  0.5633
Li  0.6667  0.3333  0.4367
Tl  0.3333  0.6667  0.1421
Tl  0.6667  0.3333  0.8579
Hg  0.3333  0.6667  0.3891
Hg  0.3333  0.6667  0.8627
Hg  0.6667  0.3333  0.1373
Hg  0.6667  0.3333  0.6109

Most intense lines, 2θ from 10° to 80°, in order of rising 2θ:
| d [Å] | intensity |
| --- | --- |
| 3.912 | 26 |
| 3.812 | 21 |
| 3.393 | 52 |
| 2.924 | 83 |
| 2.631 | 100 |
| 2.165 | 29 |
| 1.956 | 26 |
| 1.678 | 30 |
| 1.570 | 26 |
| 1.519 | 19 |

---

Entry 7:
Diffraction record for SrLa6Pm2. The powder diffractogram is simulated, not measured: it uses DFT lattice parameters and positions (PBE) and Cu Kα.
No peak broadening, texture or thermal motion is included.

Atomic structure:
abc: 8.4383 8.4383 8.4365
angles: 107.75 107.75 36.57
Fractional coordinates of all 9 atoms:
Sr  0.0000  0.0000  0.0000
La  0.2270  0.2270  0.3399
La  0.3240  0.3240  0.0029
La  0.4434  0.4434  0.6497
La  0.5566  0.5566  0.3503
La  0.6760  0.6760  0.9971
La  0.7730  0.7730  0.6601
Pm  0.1123  0.1123  0.6572
Pm  0.8877  0.8877  0.3428

Most intense lines, 2θ from 10° to 80°, in order of rising 2θ:
| d [Å] | intensity |
| --- | --- |
| 3.072 | 100 |
| 2.667 | 33 |
| 2.648 | 17 |
| 1.881 | 18 |
| 1.878 | 12 |
| 1.611 | 7 |
| 1.607 | 14 |
| 1.604 | 7 |
| 1.599 | 15 |
| 1.534 | 6 |

---

Entry 8:
Diffraction record for Hf2Si4Mo. The powder diffractogram is simulated, not measured: it uses DFT lattice parameters and positions (PBE) and Cu Kα.
No peak broadening, texture or thermal motion is included.

Atomic structure:
abc: 4.6693 4.6693 12.9810
angles: 90.00 90.00 90.00
Fractional coordinates of all 14 atoms:
Hf  0.0000  0.0000  0.1115
Hf  0.0000  0.0000  0.8885
Hf  0.5000  0.5000  0.3885
Hf  0.5000  0.5000  0.6115
Si  0.0000  0.0000  0.3097
Si  0.0000  0.0000  0.6903
Si  0.0000  0.5000  0.0000
Si  0.0000  0.5000  0.5000
Si  0.5000  0.0000  0.0000
Si  0.5000  0.0000  0.5000
Si  0.5000  0.5000  0.1903
Si  0.5000  0.5000  0.8097
Mo  0.0000  0.0000  0.5000
Mo  0.5000  0.5000  0.0000

Most intense lines, 2θ from 10° to 80°, in order of rising 2θ:
| d [Å] | intensity |
| --- | --- |
| 6.490 | 38 |
| 4.394 | 42 |
| 3.302 | 100 |
| 3.174 | 45 |
| 2.335 | 61 |
| 2.314 | 31 |
| 2.269 | 82 |
| 1.881 | 20 |
| 1.651 | 21 |
| 1.627 | 58 |

---

Entry 9:
Diffraction record for CaAc4Rh3. The powder diffractogram is simulated, not measured: it uses DFT lattice parameters and positions (PBE) and Cu Kα.
No peak broadening, texture or thermal motion is included.

Atomic structure:
abc: 8.0768 8.0768 10.8952
angles: 110.21 110.21 54.97
Fractional coordinates of all 16 atoms:
Ca  0.1709  0.8291  0.5000
Ca  0.8291  0.1709  0.0000
Ac  0.0242  0.3680  0.4011
Ac  0.2226  0.5633  0.8034
Ac  0.3680  0.0242  0.9011
Ac  0.4353  0.7670  0.1954
Ac  0.5633  0.2226  0.3034
Ac  0.6271  0.9564  0.6117
Ac  0.7670  0.4353  0.6954
Ac  0.9564  0.6271  0.1117
Rh  0.1982  0.1995  0.6535
Rh  0.1995  0.1982  0.1535
Rh  0.5885  0.5931  0.9358
Rh  0.5931  0.5885  0.4358
Rh  0.7954  0.8054  0.3662
Rh  0.8054  0.7954  0.8662

Most intense lines, 2θ from 10° to 80°, in order of rising 2θ:
| d [Å] | intensity |
| --- | --- |
| 6.599 | 51 |
| 3.277 | 99 |
| 3.237 | 100 |
| 3.207 | 98 |
| 2.528 | 53 |
| 2.516 | 46 |
| 2.488 | 46 |
| 2.136 | 77 |
| 2.090 | 35 |
| 1.952 | 45 |